Structure and theoretical powder XRD pattern of Pr2Al19Co6 (the PBE geometry in the Materials Project; Cu Ka).

Largest 6 diffraction maxima, by intensity, 10° ≤ 2θ ≤ 80°:
d = 2.411 Å, 2θ 37.29, I = 1000
d = 4.000 Å, 2θ 22.22, I = 993
d = 2.057 Å, 2θ 44.03, I = 899
d = 2.395 Å, 2θ 37.56, I = 864
d = 3.491 Å, 2θ 25.51, I = 764
d = 2.025 Å, 2θ 44.75, I = 625

```
54
Lattice="8.8138 -6.0439 0.0000 8.8138 6.0439 0.0000 -1.9842 0.0000 7.9843" Properties=species:S:1:pos:R:3 pbc="T T T"
Pr 3.4247 0.0000 1.8234
Pr 2.4184 0.0000 5.9285
Pr 13.2249 0.0000 2.0558
Pr 12.2187 0.0000 6.1609
Al 3.9643 3.0148 1.9034
Al 5.1335 4.0119 4.4077
Al 6.2848 3.9292 0.4488
Al 7.1688 4.6396 2.8050
Al 6.2161 4.6281 6.7496
Al 9.4272 4.6281 1.2347
Al 8.4746 4.6396 5.1793
Al 4.5869 1.4096 4.2707
Al 5.8494 1.3646 0.3768
Al 7.0949 2.1076 5.0791
Al 9.3586 3.9292 7.5355
Al 10.5098 4.0119 3.5766
Al 8.8138 2.0485 0.0000
Al 8.5485 2.1076 2.9052
Al 5.6668 0.0000 6.5283
Al 6.6760 0.0000 2.8140
Al 4.5869 -1.4096 4.2707
Al 5.8494 -1.3646 0.3768
Al 11.6791 3.0147 6.0809
Al 3.9643 -3.0147 1.9034
Al 9.7940 1.3646 7.6075
Al 11.0565 1.4096 3.7136
Al 8.9674 0.0000 5.1703
Al 9.9766 0.0000 1.4560
Al 7.0949 -2.1076 5.0791
Al 8.8138 -2.0485 0.0000
Al 5.1335 -4.0119 4.4077
Al 6.2848 -3.9292 0.4488
Al 8.5485 -2.1076 2.9052
Al 9.7940 -1.3646 7.6075
Al 11.0565 -1.4096 3.7136
Al 7.1688 -4.6396 2.8050
Al 6.2161 -4.6281 6.7496
Al 9.4272 -4.6281 1.2347
Al 8.4746 -4.6396 5.1793
Al 9.3586 -3.9292 7.5355
Al 10.5098 -4.0119 3.5766
Al 11.6791 -3.0148 6.0809
Co 0.2770 0.0000 3.2366
Co -0.7127 0.0000 7.2328
Co 5.0928 2.4087 6.4748
Co 6.1187 2.3994 2.6128
Co 9.5246 2.3994 5.3715
Co 10.5506 2.4087 1.5095
Co 5.0928 -2.4087 6.4748
Co 6.1187 -2.3994 2.6128
Co 9.5246 -2.3994 5.3715
Co 10.5506 -2.4087 1.5095
Co 16.3561 0.0000 0.7515
Co 15.3664 0.0000 4.7477
```